Entry 1:
For Y5P, a structure optimized by DFT (PBE) gives the theoretical PXRD pattern in this record (Cu Kα, 1.54184 Å).
Intensities are scaled so that the largest is 100.

Most intense lines, 15° ≤ 2θ ≤ 90°, sorted by position:
d/Å  two_theta  intensity  (hkl)
3.301  27.01  62.7  1 1 -1
3.076  29.03  89.9  2 0 2
2.908  30.74  75.8  4 0 -1
2.753  32.52  100.0  1 1 -2
2.691  33.29  66.3  2 0 -3
2.662  33.67  85.1  3 1 0
2.437  36.88  45.0  3 1 1
1.843  49.46  27.1  0 2 0
1.736  52.74  28.1  5 1 -3
1.530  60.50  26.7  7 1 -1

Crystal structure
Cell: 11.776 3.685 8.392 Å, 90.00 101.37 90.00°
Fractional coordinates of all 12 atoms:
Y  0.000  0.000  0.000
Y  0.074  0.000  0.425
Y  0.173  0.500  0.774
Y  0.272  0.500  0.220
Y  0.376  0.000  0.625
Y  0.500  0.500  0.000
Y  0.574  0.500  0.425
Y  0.673  0.000  0.774
Y  0.772  0.000  0.220
Y  0.876  0.500  0.625
P  0.315  0.000  0.967
P  0.815  0.500  0.967

***

Entry 2:
For Y2P, a structure optimized by DFT (PBE) gives the theoretical PXRD pattern in this record (Cu Kα, 1.54184 Å).
Intensities are scaled so that the largest is 100.

Most intense lines, 15° ≤ 2θ ≤ 90°, sorted by position:
d/Å  two_theta  intensity  (hkl)
3.189  27.98  75.4  0 1 2
3.112  28.69  23.5  0 0 6
2.745  32.63  100.0  1 0 4
1.959  46.35  36.2  1 1 0
1.923  47.27  34.0  0 1 8
1.658  55.42  21.6  1 1 6
1.595  57.82  18.3  0 2 4
1.237  77.13  15.4  2 1 4
1.218  78.50  14.5  1 1 12
1.124  86.61  11.5  1 2 8

Crystal structure
Cell: 3.918 3.918 18.672 Å, 90.00 90.00 120.00°
Fractional coordinates of all 9 atoms:
Y  0.000  0.000  0.249
Y  0.000  0.000  0.751
Y  0.333  0.667  0.418
Y  0.333  0.667  0.915
Y  0.667  0.333  0.085
Y  0.667  0.333  0.582
P  0.000  0.000  0.000
P  0.333  0.667  0.667
P  0.667  0.333  0.333

***

Entry 3:
For YP5, a structure optimized by DFT (PBE) gives the theoretical PXRD pattern in this record (Cu Kα, 1.54184 Å).
Intensities are scaled so that the largest is 100.

Most intense lines, 15° ≤ 2θ ≤ 90°, sorted by position:
d/Å  two_theta  intensity  (hkl)
3.686  24.14  48.2  1 1 -1
3.380  26.37  90.8  1 2 0
3.236  27.56  40.6  1 0 1
3.057  29.21  100.0  1 2 -1
2.697  33.21  28.7  0 3 1
2.638  33.98  35.4  1 3 0
2.542  35.31  30.0  1 0 -2
2.527  35.52  44.3  0 1 2
2.153  41.95  42.4  2 2 0
1.977  45.91  30.1  1 3 -2

Crystal structure
Cell: 4.957 9.435 5.366 Å, 90.00 102.15 90.00°
Fractional coordinates of all 12 atoms:
Y  0.004  0.250  0.346
Y  0.996  0.750  0.654
P  0.276  0.250  0.892
P  0.286  0.528  0.405
P  0.286  0.972  0.405
P  0.384  0.593  0.045
P  0.384  0.907  0.045
P  0.616  0.093  0.955
P  0.616  0.407  0.955
P  0.714  0.028  0.595
P  0.714  0.472  0.595
P  0.724  0.750  0.108